Record 1
Diffraction record for Ba3YIrRuO9. The powder XRD pattern is computed, not measured: it uses a PBE-relaxed structure and Cu Kα (λ = 1.5418 Å).
Peak positions follow from Bragg's law for the DFT cell and can differ from measured ones.

Main lines, sorted by position (10 to 80 degrees two-theta):
d 4.861, rel. 18; d 3.554, rel. 23; d 2.996, rel. 55; d 2.973, rel. 100; d 2.110, rel. 32; d 1.721, rel. 21; d 1.717, rel. 20; d 1.487, rel. 18

Cell and atoms:
```
30
Lattice="5.947 0.000 0.000 -2.973 5.150 0.000 0.000 0.000 14.734" Properties=species:S:1:pos:R:3 pbc="T T T"
Ba 0.000 0.000 0.000
Ba 0.000 0.000 7.367
Ba 0.000 3.433 2.280
Ba 0.000 3.433 12.468
Ba 2.973 1.717 5.101
Ba 2.973 1.717 9.647
Y 0.000 0.000 3.705
Y 0.000 0.000 11.072
Ir 0.000 3.433 6.116
Ir 2.973 1.717 13.483
Ru 0.000 3.433 8.643
Ru 2.973 1.717 1.276
O -1.400 2.625 7.377
O 0.000 1.806 4.981
O -1.410 4.247 4.981
O 0.000 1.813 9.737
O -1.404 4.244 9.737
O 1.564 0.903 12.348
O 1.570 0.906 2.370
O 1.400 2.625 7.377
O 0.000 5.050 7.377
O 2.973 0.100 0.010
O 1.573 2.525 0.010
O 1.404 4.244 9.737
O 1.410 4.247 4.981
O 4.377 0.906 2.370
O 2.973 3.337 2.370
O 4.383 0.903 12.348
O 2.973 3.344 12.348
O 4.373 2.525 0.010
```

***

Record 2
Diffraction record for Ba2ScIrO6. The powder XRD pattern is computed, not measured: it uses a PBE-relaxed structure and Cu Kα (λ = 1.5418 Å).
Peak positions follow from Bragg's law for the DFT cell and can differ from measured ones.

Main lines, sorted by position (10 to 80 degrees two-theta):
d 4.755, rel. 22; d 2.912, rel. 100; d 2.483, rel. 12; d 2.059, rel. 30; d 1.889, rel. 5; d 1.681, rel. 40; d 1.456, rel. 19; d 1.302, rel. 18

Cell and atoms:
```
10
Lattice="0.000 4.118 4.118 4.118 0.000 4.118 4.118 4.118 0.000" Properties=species:S:1:pos:R:3 pbc="T T T"
Ba 2.059 2.059 2.059
Ba 6.177 6.177 6.177
Sc 0.000 0.000 0.000
Ir 4.118 4.118 4.118
O 4.118 4.118 2.118
O 4.118 2.118 4.118
O 6.118 4.118 4.118
O 2.118 4.118 4.118
O 4.118 6.118 4.118
O 4.118 4.118 6.118
```

***

Record 3
Diffraction record for Ba2SrIr3O9. The powder XRD pattern is computed, not measured: it uses a PBE-relaxed structure and Cu Kα (λ = 1.5418 Å).
Peak positions follow from Bragg's law for the DFT cell and can differ from measured ones.

Main lines, sorted by position (10 to 80 degrees two-theta):
d 4.465, rel. 37; d 3.518, rel. 19; d 2.889, rel. 100; d 2.754, rel. 62; d 2.218, rel. 18; d 1.993, rel. 33; d 1.668, rel. 20; d 1.641, rel. 28

Cell and atoms:
```
60
Lattice="5.777 0.000 0.000 -2.889 5.003 0.000 0.000 0.000 29.690" Properties=species:S:1:pos:R:3 pbc="T T T"
Ba 0.000 0.000 2.426
Ba 0.000 0.000 7.462
Ba 0.000 0.000 12.368
Ba 0.000 0.000 17.322
Ba 0.000 0.000 22.229
Ba 0.000 0.000 27.264
Ba 2.889 1.668 4.953
Ba 2.889 1.668 24.738
Sr 0.000 3.335 0.000
Sr 0.000 3.335 9.875
Sr 0.000 3.335 19.815
Sr 2.889 1.668 14.845
Ir 0.000 3.335 3.604
Ir 0.000 3.335 6.291
Ir 0.000 3.335 13.507
Ir 0.000 3.335 16.184
Ir 0.000 3.335 23.399
Ir 0.000 3.335 26.086
Ir 2.889 1.668 1.341
Ir 2.889 1.668 8.568
Ir 2.889 1.668 11.246
Ir 2.889 1.668 18.444
Ir 2.889 1.668 21.122
Ir 2.889 1.668 28.349
O 4.333 2.501 12.376
O 4.333 2.501 17.314
O -1.415 2.519 7.485
O -1.415 2.519 22.206
O -1.414 2.519 2.417
O -1.414 2.519 27.273
O 0.000 1.799 14.845
O -1.331 4.104 14.845
O 0.000 1.806 4.947
O 0.000 1.806 24.744
O -1.324 4.100 4.947
O -1.324 4.100 24.744
O 1.561 0.901 0.000
O 1.559 0.900 9.909
O 1.559 0.900 19.781
O 1.414 2.519 2.417
O 1.414 2.519 27.273
O 0.000 4.968 2.417
O 0.000 4.968 27.273
O 1.415 2.519 7.485
O 1.415 2.519 22.206
O 0.000 4.969 7.485
O 0.000 4.969 22.206
O 2.889 0.000 12.376
O 2.889 0.000 17.314
O 1.445 2.501 12.376
O 1.445 2.501 17.314
O 1.324 4.100 4.947
O 1.324 4.100 24.744
O 1.331 4.104 14.845
O 4.216 0.901 0.000
O 4.218 0.900 9.909
O 4.218 0.900 19.781
O 2.889 3.201 0.000
O 2.889 3.203 9.909
O 2.889 3.203 19.781
```

***

Record 4
Diffraction record for Ba2YIrO6. The powder XRD pattern is computed, not measured: it uses a PBE-relaxed structure and Cu Kα (λ = 1.5418 Å).
Peak positions follow from Bragg's law for the DFT cell and can differ from measured ones.

Main lines, sorted by position (10 to 80 degrees two-theta):
d 4.880, rel. 9; d 2.988, rel. 100; d 2.548, rel. 5; d 2.113, rel. 29; d 1.725, rel. 40; d 1.494, rel. 18; d 1.336, rel. 18; d 1.220, rel. 6

Cell and atoms:
```
10
Lattice="0.000 4.226 4.226 4.226 0.000 4.226 4.226 4.226 0.000" Properties=species:S:1:pos:R:3 pbc="T T T"
Ba 2.113 2.113 2.113
Ba 6.339 6.339 6.339
Y 0.000 0.000 0.000
Ir 4.226 4.226 4.226
O 4.226 4.226 2.235
O 4.226 2.235 4.226
O 6.216 4.226 4.226
O 2.235 4.226 4.226
O 4.226 6.216 4.226
O 4.226 4.226 6.216
```

***

Record 5
Diffraction record for BaSi2Ir2. The powder XRD pattern is computed, not measured: it uses a PBE-relaxed structure and Cu Kα (λ = 1.5418 Å).
Peak positions follow from Bragg's law for the DFT cell and can differ from measured ones.

Main lines, sorted by position (10 to 80 degrees two-theta):
d 5.163, rel. 37; d 3.176, rel. 46; d 3.140, rel. 57; d 2.882, rel. 100; d 2.742, rel. 43; d 2.474, rel. 30; d 2.423, rel. 35; d 1.871, rel. 19

Cell and atoms:
```
20
Lattice="7.977 0.000 0.000 0.000 6.775 0.000 -0.250 0.000 7.786" Properties=species:S:1:pos:R:3 pbc="T T T"
Ba 1.754 0.807 3.882
Ba 1.629 2.581 7.775
Ba 6.098 4.194 0.012
Ba 5.973 5.968 3.905
Si 0.493 3.933 2.888
Si 0.368 6.229 6.782
Si 3.313 4.390 5.350
Si 3.438 5.772 1.457
Si 4.289 1.003 6.330
Si 4.414 2.384 2.436
Si 7.360 0.545 1.005
Si 7.235 2.842 4.898
Ir 0.928 4.517 5.217
Ir 1.053 5.644 1.324
Ir 2.923 4.100 3.008
Ir 2.798 6.062 6.901
Ir 4.930 0.713 0.885
Ir 4.805 2.674 4.778
Ir 6.674 1.130 6.463
Ir 6.799 2.257 2.570
```

***

Record 6
Diffraction record for K3Ba. The powder XRD pattern is computed, not measured: it uses a PBE-relaxed structure and Cu Kα (λ = 1.5418 Å).
Peak positions follow from Bragg's law for the DFT cell and can differ from measured ones.

Main lines, sorted by position (10 to 80 degrees two-theta):
d 6.055, rel. 25; d 5.244, rel. 13; d 3.708, rel. 100; d 3.162, rel. 16; d 2.622, rel. 19; d 2.141, rel. 41; d 1.658, rel. 18; d 1.401, rel. 20

Cell and atoms:
```
16
Lattice="10.487 0.000 0.000 0.000 10.487 0.000 0.000 0.000 10.487" Properties=species:S:1:pos:R:3 pbc="T T T"
K 0.000 0.000 0.000
K 0.000 5.244 5.244
K 2.622 2.622 2.622
K 2.622 2.622 7.865
K 2.622 7.865 2.622
K 2.622 7.865 7.865
K 5.244 0.000 5.244
K 5.244 5.244 0.000
K 7.865 2.622 2.622
K 7.865 2.622 7.865
K 7.865 7.865 2.622
K 7.865 7.865 7.865
Ba 0.000 0.000 5.244
Ba 0.000 5.244 0.000
Ba 5.244 0.000 0.000
Ba 5.244 5.244 5.244
```